This entry pairs a crystal structure of TePt5 with its theoretical powder XRD pattern. Radiation: Cu Ka. Structure: a PBE-relaxed structure.
Kinematic intensities with the Lorentz-polarization factor, no thermal factor.

Peak list (10 most intense, 15 to 90 degrees two-theta, by angle)
hkl, Position (°2θ), I (rel.)
1 1 -2, 36.2, 100
3 1 0, 41.1, 71
2 0 2, 41.6, 34
4 0 -2, 42.4, 32
0 2 0, 50.6, 20
2 0 -4, 53.5, 16
2 2 2, 67.5, 17
4 2 -2, 68.1, 16
1 1 4, 69.0, 15
5 1 -4, 70.2, 14

Structural model:
```
data_TePt5
_chemical_formula_sum 'Te2 Pt10'
_cell_length_a 8.9195
_cell_length_b 3.6067
_cell_length_c 6.8547
_cell_angle_alpha 90.00
_cell_angle_beta 111.52
_cell_angle_gamma 90.00
_space_group_name_H-M_alt 'C 1 2/m 1'
_space_group_IT_number 12
loop_
_space_group_symop_operation_xyz
'x,y,z'
'-x,-y,-z'
'-x,y,-z'
'x,-y,z'
'x+1/2,y+1/2,z'
'-x+1/2,-y+1/2,-z'
'-x+1/2,y+1/2,-z'
'x+1/2,-y+1/2,z'
loop_
_atom_site_label
_atom_site_type_symbol
_atom_site_fract_x
_atom_site_fract_y
_atom_site_fract_z
Te1 Te 0.0000 0.0000 0.0000
Pt1 Pt 0.0000 0.0000 0.5000
Pt2 Pt 0.1673 0.5000 0.3452
Pt3 Pt 0.1674 0.5000 0.8227
```